CdGa2Te2Se2: theoretical XRD peak list (Cu Kα X-rays), based on a GGA-PBE-relaxed structure.
Peak positions follow from Bragg's law for the DFT cell and can differ from measured ones.

Principal peaks in the range 10° ≤ 2θ ≤ 80°, in order of falling intensity:
d [Å]	Position (°2θ)	I_rel
3.485	25.56	100
3.388	26.30	81
2.073	43.67	40
2.093	43.22	38
2.197	41.09	26
2.102	43.04	20
1.829	49.86	14
1.787	51.13	14
4.203	21.14	13
1.858	49.04	13

Atomic structure:
Cell lengths 8.409, 11.448, 6.017 Å; angles 90.00, 133.10, 90.00 degrees
Space group C2 (No. 5)
One atom of each set of equivalent atoms:
Cd 0.000 0.000 0.000 [2 per cell]
Ga 0.000 0.501 0.000 [2 per cell]
Ga 0.000 0.737 0.500 [2 per cell]
Te 0.216 0.356 0.473 [4 per cell]
Se 0.228 0.633 0.992 [4 per cell]